PaTe2Br5: theoretical X-ray diffraction stick pattern (copper Kα), based on a DFT-relaxed cell (PBE, Alexandria).

The 10 most intense peaks (10 to 80 degrees two-theta), by angle:
- 10.38 deg, 8.519 Å, I = 29
- 14.71 deg, 6.024 Å, I = 100
- 17.33 deg, 5.118 Å, I = 80
- 20.85 deg, 4.260 Å, I = 91
- 31.09 deg, 2.876 Å, I = 27
- 33.26 deg, 2.694 Å, I = 64
- 33.40 deg, 2.683 Å, I = 65
- 39.70 deg, 2.270 Å, I = 27
- 40.69 deg, 2.217 Å, I = 20
- 45.26 deg, 2.004 Å, I = 61

Structure:
```
data_PaTe2Br5
_cell_length_a 8.974
_cell_length_b 8.974
_cell_length_c 5.653
_cell_angle_alpha 108.33
_cell_angle_beta 108.33
_cell_angle_gamma 84.14
_symmetry_space_group_name_H-M 'P 1'
_symmetry_Int_Tables_number 1
loop_
_symmetry_equiv_pos_as_xyz
'x,y,z'
loop_
_atom_site_label
_atom_site_type_symbol
_atom_site_fract_x
_atom_site_fract_y
_atom_site_fract_z
Pa1 Pa 0.000 0.000 0.000
Te1 Te 0.500 0.500 0.269
Te2 Te 0.500 0.500 0.745
Br1 Br 0.000 0.000 0.500
Br2 Br 0.001 0.687 0.844
Br3 Br 0.313 0.999 0.156
Br4 Br 0.687 0.001 0.844
Br5 Br 0.999 0.313 0.156
```